[1]
Diffraction record for Nd3Mo2N7. The powder XRD pattern is computed, not measured: it uses the GGA-PBE geometry in Alexandria and copper Kα.
No peak broadening, texture or thermal motion is included.

Main lines, by intensity (2θ from 10° to 80°):
| 2θ (°) | I/Imax |
| --- | --- |
| 32.23 | 100 |
| 30.80 | 93 |
| 34.68 | 72 |
| 58.89 | 33 |
| 57.82 | 33 |
| 57.07 | 33 |
| 44.76 | 31 |
| 46.80 | 27 |

Cell and atoms:
```
data_Nd3Mo2N7
_chemical_formula_sum 'Nd6 Mo4 N14'
_space_group_name_H-M_alt 'C m m m'
_space_group_IT_number 65
_space_group_name_Hall '-C 2 2'
_cell_length_a 4.0499
_cell_length_b 20.8154
_cell_length_c 3.8826
_cell_angle_alpha 90.00
_cell_angle_beta 90.00
_cell_angle_gamma 90.00
loop_
_atom_site_label
_atom_site_type_symbol
_atom_site_fract_x
_atom_site_fract_y
_atom_site_fract_z
_atom_site_occupancy
Nd1 Nd 0.0000 0.0000 0.0000 1
Nd2 Nd 0.0000 0.1782 0.0000 1
Mo1 Mo 0.0000 0.3992 0.5000 1
N1 N 0.0000 0.0962 0.5000 1
N2 N 0.0000 0.3033 0.5000 1
N3 N 0.0000 0.4014 0.0000 1
N4 N 0.0000 0.5000 0.5000 1
```

---

[2]
Diffraction record for PaCd4Pd2. The powder XRD pattern is computed, not measured: it uses the GGA-PBE geometry in Alexandria and copper Kα.
No peak broadening, texture or thermal motion is included.

Main lines, by intensity (2θ from 10° to 80°):
| 2θ (°) | I/Imax |
| --- | --- |
| 36.23 | 100 |
| 34.93 | 66 |
| 32.17 | 46 |
| 39.60 | 41 |
| 37.86 | 40 |
| 40.65 | 33 |
| 56.11 | 24 |
| 52.69 | 22 |

Cell and atoms:
```
data_PaCd4Pd2
_chemical_formula_sum 'Pa1 Cd4 Pd2'
_space_group_name_H-M_alt 'P 1 2/m 1'
_space_group_IT_number 10
_cell_length_a 4.5656
_cell_length_b 3.4745
_cell_length_c 9.4235
_cell_angle_alpha 90.00
_cell_angle_beta 99.48
_cell_angle_gamma 90.00
loop_
_space_group_symop_operation_xyz
'x,y,z'
'-x,-y,-z'
'-x,y,-z'
'x,-y,z'
loop_
_atom_site_label
_atom_site_type_symbol
_atom_site_fract_x
_atom_site_fract_y
_atom_site_fract_z
_atom_site_occupancy
Pa1 Pa 0.0000 0.0000 0.0000 1
Cd1 Cd 0.1910 0.5000 0.3165 1
Cd2 Cd 0.2857 0.0000 0.6095 1
Pd1 Pd 0.3657 0.5000 0.8630 1
```

---

[3]
Diffraction record for La4Ge2Ir. The powder XRD pattern is computed, not measured: it uses the GGA-PBE geometry in Alexandria and copper Kα.
No peak broadening, texture or thermal motion is included.

Main lines, by intensity (2θ from 10° to 80°):
| 2θ (°) | I/Imax |
| --- | --- |
| 30.33 | 100 |
| 33.62 | 54 |
| 37.41 | 50 |
| 38.93 | 44 |
| 35.81 | 41 |
| 50.57 | 29 |
| 30.70 | 28 |
| 28.32 | 27 |

Cell and atoms:
```
data_La4Ge2Ir
_chemical_formula_sum 'La8 Ge4 Ir2'
_space_group_name_H-M_alt 'C 1 2/m 1'
_space_group_IT_number 12
_cell_length_a 11.5305
_cell_length_b 4.6272
_cell_length_c 8.7410
_cell_angle_alpha 90.00
_cell_angle_beta 121.95
_cell_angle_gamma 90.00
loop_
_space_group_symop_operation_xyz
'x,y,z'
'-x,-y,-z'
'-x,y,-z'
'x,-y,z'
'x+1/2,y+1/2,z'
'-x+1/2,-y+1/2,-z'
'-x+1/2,y+1/2,-z'
'x+1/2,-y+1/2,z'
loop_
_atom_site_label
_atom_site_type_symbol
_atom_site_fract_x
_atom_site_fract_y
_atom_site_fract_z
_atom_site_occupancy
La1 La 0.0823 0.0000 0.3635 1
La2 La 0.1827 0.5000 0.0687 1
Ge1 Ge 0.1279 0.5000 0.6449 1
Ir1 Ir 0.0000 0.0000 0.0000 1
```

---

[4]
Diffraction record for Sm2Zn2Co2C. The powder XRD pattern is computed, not measured: it uses the GGA-PBE geometry in Alexandria and copper Kα.
No peak broadening, texture or thermal motion is included.

Main lines, by intensity (2θ from 10° to 80°):
| 2θ (°) | I/Imax |
| --- | --- |
| 35.07 | 100 |
| 39.10 | 72 |
| 33.43 | 61 |
| 35.45 | 47 |
| 44.98 | 46 |
| 39.65 | 40 |
| 33.03 | 39 |
| 32.51 | 37 |

Cell and atoms:
```
data_Sm2Zn2Co2C
_chemical_formula_sum 'Sm4 Zn4 Co4 C2'
_space_group_name_H-M_alt 'C 1 2/m 1'
_space_group_IT_number 12
_cell_length_a 10.9089
_cell_length_b 4.0306
_cell_length_c 7.1313
_cell_angle_alpha 90.00
_cell_angle_beta 129.44
_cell_angle_gamma 90.00
loop_
_space_group_symop_operation_xyz
'x,y,z'
'-x,-y,-z'
'-x,y,-z'
'x,-y,z'
'x+1/2,y+1/2,z'
'-x+1/2,-y+1/2,-z'
'-x+1/2,y+1/2,-z'
'x+1/2,-y+1/2,z'
loop_
_atom_site_label
_atom_site_type_symbol
_atom_site_fract_x
_atom_site_fract_y
_atom_site_fract_z
_atom_site_occupancy
Sm1 Sm 0.0529 0.0000 0.2839 1
Zn1 Zn 0.1590 0.5000 0.7095 1
Co1 Co 0.1909 0.5000 0.0856 1
C1 C 0.0000 0.5000 0.0000 1
```

---

[5]
Diffraction record for NaMgSb2O8. The powder XRD pattern is computed, not measured: it uses the GGA-PBE geometry in Alexandria and copper Kα.
No peak broadening, texture or thermal motion is included.

Main lines, by intensity (2θ from 10° to 80°):
| 2θ (°) | I/Imax |
| --- | --- |
| 14.01 | 100 |
| 32.36 | 40 |
| 23.29 | 40 |
| 43.47 | 33 |
| 35.41 | 30 |
| 18.52 | 17 |
| 57.71 | 15 |
| 47.11 | 14 |

Cell and atoms:
```
data_NaMgSb2O8
_chemical_formula_sum 'Na1 Mg1 Sb2 O8'
_space_group_name_H-M_alt 'P -3'
_space_group_IT_number 147
_cell_length_a 5.5334
_cell_length_b 5.5334
_cell_length_c 6.3217
_cell_angle_alpha 90.00
_cell_angle_beta 90.00
_cell_angle_gamma 120.00
loop_
_space_group_symop_operation_xyz
'x,y,z'
'-x,-y,-z'
'-y,x-y,z'
'y,-x+y,-z'
'-x+y,-x,z'
'x-y,x,-z'
loop_
_atom_site_label
_atom_site_type_symbol
_atom_site_fract_x
_atom_site_fract_y
_atom_site_fract_z
_atom_site_occupancy
Na1 Na 0.0000 0.0000 0.0000 1
Mg1 Mg 0.0000 0.0000 0.5000 1
Sb1 Sb 0.3333 0.6667 0.4499 1
O1 O 0.0393 0.3553 0.6448 1
O2 O 0.3333 0.6667 0.1258 1
```

---

[6]
Diffraction record for RbMg6B. The powder XRD pattern is computed, not measured: it uses the GGA-PBE geometry in Alexandria and copper Kα.
No peak broadening, texture or thermal motion is included.

Main lines, by intensity (2θ from 10° to 80°):
| 2θ (°) | I/Imax |
| --- | --- |
| 27.68 | 100 |
| 35.70 | 77 |
| 20.90 | 66 |
| 34.17 | 64 |
| 25.57 | 61 |
| 32.41 | 60 |
| 12.71 | 56 |
| 31.62 | 44 |

Cell and atoms:
```
data_RbMg6B
_chemical_formula_sum 'Rb2 Mg12 B2'
_space_group_name_H-M_alt 'A m m 2'
_space_group_IT_number 38
_cell_length_a 3.6351
_cell_length_b 7.8434
_cell_length_c 15.1705
_cell_angle_alpha 90.00
_cell_angle_beta 90.00
_cell_angle_gamma 90.00
loop_
_space_group_symop_operation_xyz
'x,y,z'
'-x,-y,z'
'-x,y,z'
'x,-y,z'
'x,y+1/2,z+1/2'
'-x,-y+1/2,z+1/2'
'-x,y+1/2,z+1/2'
'x,-y+1/2,z+1/2'
loop_
_atom_site_label
_atom_site_type_symbol
_atom_site_fract_x
_atom_site_fract_y
_atom_site_fract_z
_atom_site_occupancy
Rb1 Rb 0.0000 0.0000 0.0000 1
Mg1 Mg 0.0000 0.1941 0.7234 1
Mg2 Mg 0.5000 0.0000 0.2036 1
Mg3 Mg 0.5000 0.0000 0.5748 1
Mg4 Mg 0.5000 0.1726 0.3749 1
B1 B 0.0000 0.0000 0.3032 1
```

---

[7]
Diffraction record for LaGaNiN. The powder XRD pattern is computed, not measured: it uses the GGA-PBE geometry in Alexandria and copper Kα.
No peak broadening, texture or thermal motion is included.

Main lines, by intensity (2θ from 10° to 80°):
| 2θ (°) | I/Imax |
| --- | --- |
| 30.69 | 100 |
| 52.79 | 37 |
| 47.91 | 34 |
| 57.97 | 34 |
| 34.84 | 30 |
| 33.37 | 29 |
| 38.96 | 25 |
| 46.60 | 13 |

Cell and atoms:
```
data_LaGaNiN
_chemical_formula_sum 'La2 Ga2 Ni2 N2'
_space_group_name_H-M_alt 'P 4/n m m'
_space_group_IT_number 129
_cell_length_a 3.7978
_cell_length_b 3.7978
_cell_length_c 9.0834
_cell_angle_alpha 90.00
_cell_angle_beta 90.00
_cell_angle_gamma 90.00
loop_
_space_group_symop_operation_xyz
'x,y,z'
'-x,-y,-z'
'-y+1/2,x,z'
'y+1/2,-x,-z'
'-x+1/2,-y+1/2,z'
'x+1/2,y+1/2,-z'
'y,-x+1/2,z'
'-y,x+1/2,-z'
'x+1/2,-y,-z'
'-x+1/2,y,z'
'-y,-x,-z'
'y,x,z'
'-x,y+1/2,-z'
'x,-y+1/2,z'
'y+1/2,x+1/2,-z'
'-y+1/2,-x+1/2,z'
loop_
_atom_site_label
_atom_site_type_symbol
_atom_site_fract_x
_atom_site_fract_y
_atom_site_fract_z
_atom_site_occupancy
La1 La 0.2500 0.2500 0.1442 1
Ga1 Ga 0.2500 0.2500 0.6592 1
Ni1 Ni 0.2500 0.7500 0.5000 1
N1 N 0.2500 0.2500 0.8787 1
```

---

[8]
Diffraction record for K4ZrSe4. The powder XRD pattern is computed, not measured: it uses the GGA-PBE geometry in Alexandria and copper Kα.
No peak broadening, texture or thermal motion is included.

Main lines, by intensity (2θ from 10° to 80°):
| 2θ (°) | I/Imax |
| --- | --- |
| 27.12 | 100 |
| 36.32 | 91 |
| 38.72 | 77 |
| 15.17 | 71 |
| 22.49 | 67 |
| 13.46 | 60 |
| 32.12 | 55 |
| 25.59 | 53 |

Cell and atoms:
```
data_K4ZrSe4
_chemical_formula_sum 'K8 Zr2 Se8'
_space_group_name_H-M_alt 'P 42/n m c'
_space_group_IT_number 137
_cell_length_a 9.3013
_cell_length_b 9.3013
_cell_length_c 7.5083
_cell_angle_alpha 90.00
_cell_angle_beta 90.00
_cell_angle_gamma 90.00
loop_
_space_group_symop_operation_xyz
'x,y,z'
'-x,-y,-z'
'-y+1/2,x,z+1/2'
'y+1/2,-x,-z+1/2'
'-x+1/2,-y+1/2,z'
'x+1/2,y+1/2,-z'
'y,-x+1/2,z+1/2'
'-y,x+1/2,-z+1/2'
'x+1/2,-y,-z'
'-x+1/2,y,z'
'-y,-x,-z+1/2'
'y,x,z+1/2'
'-x,y+1/2,-z'
'x,-y+1/2,z'
'y+1/2,x+1/2,-z+1/2'
'-y+1/2,-x+1/2,z+1/2'
loop_
_atom_site_label
_atom_site_type_symbol
_atom_site_fract_x
_atom_site_fract_y
_atom_site_fract_z
_atom_site_occupancy
K1 K 0.0259 0.2500 0.1091 1
Zr1 Zr 0.2500 0.7500 0.2500 1
Se1 Se 0.0285 0.7500 0.4494 1
```

---

[9]
Diffraction record for Cs4Pu3PbO12. The powder XRD pattern is computed, not measured: it uses the GGA-PBE geometry in Alexandria and copper Kα.
No peak broadening, texture or thermal motion is included.

Main lines, by intensity (2θ from 10° to 80°):
| 2θ (°) | I/Imax |
| --- | --- |
| 28.27 | 100 |
| 50.05 | 42 |
| 40.41 | 27 |
| 66.19 | 19 |
| 58.47 | 18 |
| 19.89 | 13 |
| 45.43 | 6 |
| 73.48 | 6 |

Cell and atoms:
```
data_Cs4Pu3PbO12
_chemical_formula_sum 'Cs8 Pu6 Pb2 O24'
_space_group_name_H-M_alt 'I m -3 m'
_space_group_IT_number 229
_space_group_name_Hall '-I 4 2 3'
_cell_length_a 8.9289
_cell_length_b 8.9289
_cell_length_c 8.9289
_cell_angle_alpha 90.00
_cell_angle_beta 90.00
_cell_angle_gamma 90.00
loop_
_atom_site_label
_atom_site_type_symbol
_atom_site_fract_x
_atom_site_fract_y
_atom_site_fract_z
_atom_site_occupancy
Cs1 Cs 0.2500 0.2500 0.2500 1
Pu1 Pu 0.0000 0.0000 0.5000 1
Pb1 Pb 0.0000 0.0000 0.0000 1
O1 O 0.0000 0.0000 0.2845 1
O2 O 0.0000 0.2500 0.5000 1
```

---

[10]
Diffraction record for HgI. The powder XRD pattern is computed, not measured: it uses the GGA-PBE geometry in Alexandria and copper Kα.
No peak broadening, texture or thermal motion is included.

Main lines, by intensity (2θ from 10° to 80°):
| 2θ (°) | I/Imax |
| --- | --- |
| 20.68 | 100 |
| 14.38 | 69 |
| 35.27 | 46 |
| 23.29 | 43 |
| 30.64 | 39 |
| 24.43 | 39 |
| 39.87 | 33 |
| 32.70 | 33 |

Cell and atoms:
```
data_HgI
_chemical_formula_sum 'Hg8 I8'
_space_group_name_H-M_alt 'P 4/m'
_space_group_IT_number 83
_cell_length_a 13.7699
_cell_length_b 13.7699
_cell_length_c 4.5211
_cell_angle_alpha 90.00
_cell_angle_beta 90.00
_cell_angle_gamma 90.00
loop_
_space_group_symop_operation_xyz
'x,y,z'
'-x,-y,-z'
'-y,x,z'
'y,-x,-z'
'-x,-y,z'
'x,y,-z'
'y,-x,z'
'-y,x,-z'
loop_
_atom_site_label
_atom_site_type_symbol
_atom_site_fract_x
_atom_site_fract_y
_atom_site_fract_z
_atom_site_occupancy
Hg1 Hg 0.0782 0.1634 0.0000 1
Hg2 Hg 0.2452 0.5789 0.5000 1
I1 I 0.1192 0.6155 0.0000 1
I2 I 0.2602 0.3733 0.5000 1
```

---

[11]
Diffraction record for Rb4TmPu3Se8. The powder XRD pattern is computed, not measured: it uses the GGA-PBE geometry in Alexandria and copper Kα.
No peak broadening, texture or thermal motion is included.

Main lines, by intensity (2θ from 10° to 80°):
| 2θ (°) | I/Imax |
| --- | --- |
| 28.22 | 100 |
| 11.13 | 47 |
| 38.67 | 35 |
| 41.91 | 25 |
| 35.70 | 16 |
| 25.02 | 15 |
| 51.37 | 13 |
| 42.04 | 12 |

Cell and atoms:
```
data_Rb4TmPu3Se8
_chemical_formula_sum 'Rb8 Tm2 Pu6 Se16'
_space_group_name_H-M_alt 'C 1 2/m 1'
_space_group_IT_number 12
_cell_length_a 14.9466
_cell_length_b 8.5976
_cell_length_c 9.3768
_cell_angle_alpha 90.00
_cell_angle_beta 122.05
_cell_angle_gamma 90.00
loop_
_space_group_symop_operation_xyz
'x,y,z'
'-x,-y,-z'
'-x,y,-z'
'x,-y,z'
'x+1/2,y+1/2,z'
'-x+1/2,-y+1/2,-z'
'-x+1/2,y+1/2,-z'
'x+1/2,-y+1/2,z'
loop_
_atom_site_label
_atom_site_type_symbol
_atom_site_fract_x
_atom_site_fract_y
_atom_site_fract_z
_atom_site_occupancy
Rb1 Rb 0.0000 0.0000 0.0000 1
Rb2 Rb 0.0000 0.5000 0.0000 1
Rb3 Rb 0.2500 0.2500 0.0000 1
Tm1 Tm 0.0000 0.0000 0.5000 1
Pu1 Pu 0.0000 0.5000 0.5000 1
Pu2 Pu 0.2500 0.2500 0.5000 1
Se1 Se 0.0165 0.2446 0.3053 1
Se2 Se 0.2282 0.0000 0.6933 1
Se3 Se 0.2326 0.5000 0.6952 1
```

---

[12]
Diffraction record for HfTl2GeN. The powder XRD pattern is computed, not measured: it uses the GGA-PBE geometry in Alexandria and copper Kα.
No peak broadening, texture or thermal motion is included.

Main lines, by intensity (2θ from 10° to 80°):
| 2θ (°) | I/Imax |
| --- | --- |
| 30.98 | 100 |
| 33.59 | 96 |
| 56.79 | 44 |
| 44.38 | 38 |
| 29.70 | 28 |
| 61.67 | 28 |
| 43.45 | 21 |
| 70.61 | 19 |

Cell and atoms:
```
data_HfTl2GeN
_chemical_formula_sum 'Hf1 Tl2 Ge1 N1'
_space_group_name_H-M_alt 'P 4/m m m'
_space_group_IT_number 123
_space_group_name_Hall '-P 4 2'
_cell_length_a 5.7738
_cell_length_b 5.7738
_cell_length_c 3.5245
_cell_angle_alpha 90.00
_cell_angle_beta 90.00
_cell_angle_gamma 90.00
loop_
_atom_site_label
_atom_site_type_symbol
_atom_site_fract_x
_atom_site_fract_y
_atom_site_fract_z
_atom_site_occupancy
Hf1 Hf 0.0000 0.0000 0.0000 1
Tl1 Tl 0.0000 0.5000 0.5000 1
Ge1 Ge 0.5000 0.5000 0.5000 1
N1 N 0.5000 0.5000 0.0000 1
```

---

[13]
Diffraction record for Ba2MgCl6. The powder XRD pattern is computed, not measured: it uses the GGA-PBE geometry in Alexandria and copper Kα.
No peak broadening, texture or thermal motion is included.

Main lines, by intensity (2θ from 10° to 80°):
| 2θ (°) | I/Imax |
| --- | --- |
| 18.55 | 100 |
| 35.95 | 82 |
| 45.11 | 54 |
| 24.01 | 53 |
| 37.60 | 28 |
| 27.44 | 25 |
| 60.14 | 25 |
| 14.69 | 18 |

Cell and atoms:
```
data_Ba2MgCl6
_chemical_formula_sum 'Ba4 Mg2 Cl12'
_space_group_name_H-M_alt 'P 42/m n m'
_space_group_IT_number 136
_space_group_name_Hall '-P 4n 2n'
_cell_length_a 6.7654
_cell_length_b 6.7654
_cell_length_c 13.2881
_cell_angle_alpha 90.00
_cell_angle_beta 90.00
_cell_angle_gamma 90.00
loop_
_atom_site_label
_atom_site_type_symbol
_atom_site_fract_x
_atom_site_fract_y
_atom_site_fract_z
_atom_site_occupancy
Ba1 Ba 0.0000 0.0000 0.1662 1
Mg1 Mg 0.0000 0.0000 0.5000 1
Cl1 Cl 0.1807 0.1807 0.3593 1
Cl2 Cl 0.2285 0.2285 0.0000 1
```